Ac3Pm3Sm: theoretical powder diffraction line list (Cu Kα, 1.54184 Å), based on a structure optimized by DFT (PBE).

Structure:
```
data_Ac3Pm3Sm
_symmetry_space_group_name_H-M 'P n m a'
_symmetry_Int_Tables_number 62
_symmetry_space_group_name_Hall '-P 2ac 2n'
_cell_length_a 13.820
_cell_length_b 5.694
_cell_length_c 14.148
_cell_angle_alpha 90.00
_cell_angle_beta 90.00
_cell_angle_gamma 90.00
loop_
_atom_site_label
_atom_site_type_symbol
_atom_site_fract_x
_atom_site_fract_y
_atom_site_fract_z
Ac1 Ac 0.086 0.250 0.059
Ac2 Ac 0.094 0.250 0.560
Ac3 Ac 0.188 0.750 0.367
Pm1 Pm 0.036 0.250 0.313
Pm2 Pm 0.168 0.750 0.933
Pm3 Pm 0.212 0.750 0.698
Sm1 Sm 0.040 0.250 0.813
```

Main lines, in order of rising 2θ (2θ = 10–90°):
| 2θ (°) | I/Imax |
| --- | --- |
| 27.92 | 45.2 |
| 30.26 | 100.0 |
| 30.45 | 99.9 |
| 31.42 | 68.9 |
| 31.90 | 41.2 |
| 45.39 | 32.0 |

RbTl3I8: theoretical powder diffraction line list (Cu Kα, 1.54184 Å), based on a structure optimized by DFT (PBE).

Structure:
```
data_RbTl3I8
_symmetry_space_group_name_H-M 'C 1 2/m 1'
_symmetry_Int_Tables_number 12
_symmetry_space_group_name_Hall '-C 2y'
_cell_length_a 12.560
_cell_length_b 8.954
_cell_length_c 11.778
_cell_angle_alpha 90.00
_cell_angle_beta 93.15
_cell_angle_gamma 90.00
loop_
_atom_site_label
_atom_site_type_symbol
_atom_site_fract_x
_atom_site_fract_y
_atom_site_fract_z
Rb1 Rb 0.000 0.000 0.000
Tl1 Tl 0.000 0.000 0.500
Tl2 Tl 0.098 0.500 0.258
I1 I 0.037 0.242 0.741
I2 I 0.196 0.500 0.049
I3 I 0.221 0.500 0.466
```

Main lines, in order of rising 2θ (2θ = 10–90°):
| 2θ (°) | I/Imax |
| --- | --- |
| 14.10 | 100.0 |
| 23.49 | 53.5 |
| 25.00 | 60.0 |
| 30.40 | 49.8 |
| 38.89 | 38.6 |
| 41.15 | 41.7 |

W4C: theoretical powder diffraction line list (Cu Kα, 1.54184 Å), based on a structure optimized by DFT (PBE).

Structure:
```
data_W4C
_symmetry_space_group_name_H-M 'C 1 2/m 1'
_symmetry_Int_Tables_number 12
_symmetry_space_group_name_Hall '-C 2y'
_cell_length_a 5.256
_cell_length_b 2.771
_cell_length_c 9.890
_cell_angle_alpha 90.00
_cell_angle_beta 98.36
_cell_angle_gamma 90.00
loop_
_atom_site_label
_atom_site_type_symbol
_atom_site_fract_x
_atom_site_fract_y
_atom_site_fract_z
W1 W 0.102 0.000 0.380
W2 W 0.226 0.500 0.136
C1 C 0.000 0.000 0.000
```

Main lines, in order of rising 2θ (2θ = 10–90°):
| 2θ (°) | I/Imax |
| --- | --- |
| 36.74 | 100.0 |
| 37.04 | 57.0 |
| 37.28 | 38.6 |
| 40.07 | 70.8 |
| 41.13 | 54.7 |
| 42.44 | 76.7 |